Entry 1:
The following is a computed powder diffractogram of ThSc2Ga6. It was derived from a GGA-PBE-relaxed structure, using Cu Kα X-rays.

Crystal structure
```
ThSc2Ga6
1.0
-2.096 3.477 6.396
2.096 -3.477 6.396
2.096 3.477 -6.396
Th Sc Ga
1 2 6
Direct
0.000 0.000 0.000
0.379 0.879 0.500
0.621 0.121 0.500
0.009 0.311 0.698
0.321 0.500 0.821
0.387 0.689 0.698
0.613 0.311 0.302
0.679 0.500 0.179
0.991 0.689 0.302
```

Most intense lines, 2θ = 10–90°, sorted by position:
2θ = 14.50°, I 26.7; 2θ = 28.51°, I 90.1; 2θ = 29.23°, I 31.5; 2θ = 29.89°, I 26.4; 2θ = 34.23°, I 100.0; 2θ = 37.67°, I 48.7; 2θ = 43.17°, I 33.9; 2θ = 44.48°, I 46.1; 2θ = 49.27°, I 35.7; 2θ = 63.72°, I 37.8

---

Entry 2:
The following is a computed powder diffractogram of Nd14SmPu. It was derived from a GGA-PBE-relaxed structure, using Cu Kα X-rays.

Crystal structure
```
Nd14SmPu
1.0
7.329 0.000 0.000
0.000 7.329 0.000
0.000 0.000 10.333
Nd Sm Pu
14 1 1
Direct
0.000 0.000 0.000
0.000 0.500 0.000
0.000 0.500 0.500
0.248 0.248 0.254
0.248 0.248 0.746
0.248 0.752 0.254
0.248 0.752 0.746
0.500 0.000 0.000
0.500 0.000 0.500
0.500 0.500 0.000
0.752 0.248 0.254
0.752 0.248 0.746
0.752 0.752 0.254
0.752 0.752 0.746
0.500 0.500 0.500
0.000 0.000 0.500
```

Most intense lines, 2θ = 10–90°, sorted by position:
2θ = 29.89°, I 100.0; 2θ = 34.61°, I 34.0; 2θ = 34.73°, I 16.8; 2θ = 49.82°, I 36.4; 2θ = 59.14°, I 29.0; 2θ = 59.29°, I 14.3; 2θ = 62.10°, I 12.5; 2θ = 80.86°, I 5.9; 2θ = 80.98°, I 11.7; 2θ = 83.43°, I 11.0